Record 1
Computed X-ray powder pattern of V2Zn2Ag for CuKα, from a structure optimized by DFT (GGA-PBE).
Kinematic intensities with the Lorentz-polarization factor, no thermal factor.

Crystal structure
a b c (Å): 7.3233 7.3233 2.9622
angles (deg): 90.00 90.00 90.00
Fractional positions:
V1 0.0923 0.4077 0.0000
V2 0.4077 0.9077 0.0000
V3 0.5923 0.0923 0.0000
V4 0.9077 0.5923 0.0000
Zn1 0.2018 0.7018 0.5000
Zn2 0.2982 0.2018 0.5000
Zn3 0.7018 0.7982 0.5000
Zn4 0.7982 0.2982 0.5000
Ag1 0.0000 0.0000 0.0000
Ag2 0.5000 0.5000 0.0000

Peak list (10 most intense, 2θ from 10° to 80°, in order of falling intensity)
h k l, Position (°2θ), I_rel
2 0 1, 39.1, 100
2 2 0, 34.6, 49
2 1 1, 41.1, 39
3 1 0, 38.9, 36
5 1 1, 73.2, 21
3 2 0, 44.6, 18
4 1 0, 51.4, 17
3 3 1, 62.3, 13
3 1 1, 50.0, 11
0 0 2, 62.7, 10

***

Record 2
Computed X-ray powder pattern of Ag3W for CuKα, from a structure optimized by DFT (GGA-PBE).
Kinematic intensities with the Lorentz-polarization factor, no thermal factor.

Crystal structure
a b c (Å): 4.7809 9.7357 5.9516
angles (deg): 90.00 90.00 90.00
Fractional positions:
Ag1 0.0804 0.2500 0.1338
Ag2 0.2465 0.0005 0.3766
Ag3 0.2465 0.4995 0.3766
Ag4 0.2535 0.5005 0.8766
Ag5 0.2535 0.9995 0.8766
Ag6 0.4196 0.7500 0.6338
Ag7 0.5804 0.2500 0.3662
Ag8 0.7465 0.0005 0.1234
Ag9 0.7465 0.4995 0.1234
Ag10 0.7535 0.5005 0.6234
Ag11 0.7535 0.9995 0.6234
Ag12 0.9196 0.7500 0.8662
W1 0.0759 0.2500 0.6436
W2 0.4241 0.7500 0.1436
W3 0.5759 0.2500 0.8564
W4 0.9241 0.7500 0.3564

Peak list (10 most intense, 2θ from 10° to 80°, in order of falling intensity)
h k l, Position (°2θ), I_rel
1 2 2, 40.2, 100
0 4 0, 36.9, 66
1 1 2, 36.8, 65
2 2 0, 42.1, 51
1 3 2, 45.5, 35
0 8 0, 78.6, 34
2 1 0, 38.8, 25
3 0 2, 66.6, 23
1 6 2, 68.8, 20
1 5 2, 60.0, 15